# 1
Calculated XRD peak list of CaTiGe2O6 for Cu Kα, 1.54184 Å, from DFT lattice parameters and positions (PBE).
Peak positions follow from Bragg's law for the DFT cell and can differ from measured ones.

Crystal structure
Unit cell a=12.1876 b=8.6948 c=5.4173 alpha=90.00 beta=102.74 gamma=90.00
Sites, in units of the cell vectors:
1 Ca 0.2376 0.0824 0.0209
2 Ca 0.2376 0.4176 0.5209
3 Ca 0.7624 0.5824 0.4791
4 Ca 0.7624 0.9176 0.9791
5 Ti 0.2201 0.6643 0.0188
6 Ti 0.2201 0.8357 0.5188
7 Ti 0.7799 0.1643 0.4812
8 Ti 0.7799 0.3357 0.9812
9 Ge 0.0221 0.1475 0.3752
10 Ge 0.0221 0.3525 0.8752
11 Ge 0.4300 0.1326 0.6673
12 Ge 0.4300 0.3674 0.1673
13 Ge 0.5700 0.6326 0.8327
14 Ge 0.5700 0.8674 0.3327
15 Ge 0.9779 0.6475 0.1248
16 Ge 0.9779 0.8525 0.6248
17 O 0.0760 0.5401 0.8592
18 O 0.0760 0.9599 0.3592
19 O 0.0972 0.2472 0.1514
20 O 0.0972 0.2528 0.6514
21 O 0.1188 0.6590 0.2998
22 O 0.1188 0.8410 0.7998
23 O 0.2794 0.6648 0.7252
24 O 0.2794 0.8352 0.2252
25 O 0.3050 0.5071 0.1765
26 O 0.3050 0.9929 0.6765
27 O 0.3539 0.2218 0.3546
28 O 0.3539 0.2782 0.8546
29 O 0.6461 0.7218 0.1454
30 O 0.6461 0.7782 0.6454
31 O 0.6950 0.0071 0.3235
32 O 0.6950 0.4929 0.8235
33 O 0.7206 0.1648 0.7748
34 O 0.7206 0.3352 0.2748
35 O 0.8812 0.1590 0.2002
36 O 0.8812 0.3410 0.7002
37 O 0.9028 0.7472 0.3486
38 O 0.9028 0.7528 0.8486
39 O 0.9240 0.0401 0.6408
40 O 0.9240 0.4599 0.1408

Most intense lines, 2θ = 5–70°, most intense first:
28.6°, I 100; 32.4°, I 80; 7.4°, I 73; 24.7°, I 67; 27.0°, I 62; 19.7°, I 42; 49.6°, I 39; 18.1°, I 29; 34.0°, I 27; 58.7°, I 25



# 2
Calculated XRD peak list of CaTiGe2O6 for Cu Kα, 1.54184 Å, from DFT lattice parameters and positions (PBE).
Peak positions follow from Bragg's law for the DFT cell and can differ from measured ones.

Crystal structure
Unit cell a=7.0453 b=7.0453 c=5.3279 alpha=100.75 beta=100.75 gamma=77.06
Sites, in units of the cell vectors:
1 Ca 0.1629 0.8371 0.7500
2 Ca 0.8371 0.1629 0.2500
3 Ti 0.4015 0.5985 0.2500
4 Ti 0.5985 0.4015 0.7500
5 Ge 0.0959 0.3495 0.8566
6 Ge 0.3495 0.0959 0.3566
7 Ge 0.6505 0.9041 0.6434
8 Ge 0.9041 0.6505 0.1434
9 O 0.1392 0.1661 0.0804
10 O 0.1592 0.6333 0.3528
11 O 0.1661 0.1392 0.5804
12 O 0.3101 0.4798 0.8877
13 O 0.3667 0.8408 0.1472
14 O 0.4798 0.3101 0.3877
15 O 0.5202 0.6899 0.6123
16 O 0.6333 0.1592 0.8528
17 O 0.6899 0.5202 0.1123
18 O 0.8339 0.8608 0.4196
19 O 0.8408 0.3667 0.6472
20 O 0.8608 0.8339 0.9196

Most intense lines, 2θ = 5–70°, most intense first:
29.2°, I 100; 33.7°, I 98; 19.9°, I 58; 28.7°, I 50; 35.2°, I 38; 27.0°, I 33; 39.1°, I 31; 46.1°, I 29; 54.9°, I 25; 54.0°, I 25



# 3
Calculated XRD peak list of CaZrGeO5 for Cu Kα, 1.54184 Å, from DFT lattice parameters and positions (PBE).
Peak positions follow from Bragg's law for the DFT cell and can differ from measured ones.

Crystal structure
Unit cell a=5.6718 b=5.8192 c=7.5447 alpha=104.13 beta=102.02 gamma=107.20
Sites, in units of the cell vectors:
1 Ca 0.1576 0.3233 0.2782
2 Ca 0.8424 0.6767 0.7218
3 Zr 0.5000 0.0000 0.0000
4 Zr 0.5000 0.0000 0.5000
5 Ge 0.1837 0.3245 0.7505
6 Ge 0.8163 0.6755 0.2495
7 O 0.1069 0.7463 0.4342
8 O 0.1850 0.1067 0.8780
9 O 0.2207 0.6234 0.9043
10 O 0.4019 0.0758 0.2497
11 O 0.4208 0.3346 0.6271
12 O 0.5792 0.6654 0.3729
13 O 0.5981 0.9242 0.7503
14 O 0.7793 0.3766 0.0957
15 O 0.8150 0.8933 0.1220
16 O 0.8931 0.2537 0.5658

Most intense lines, 2θ = 5–70°, most intense first:
28.3°, I 100; 26.2°, I 76; 25.6°, I 58; 32.1°, I 57; 31.9°, I 52; 32.6°, I 49; 32.4°, I 36; 49.9°, I 33; 49.2°, I 26; 35.2°, I 23



# 4
Calculated XRD peak list of Ca3Ge2P4 for Cu Kα, 1.54184 Å, from DFT lattice parameters and positions (PBE).
Peak positions follow from Bragg's law for the DFT cell and can differ from measured ones.

Crystal structure
Unit cell a=7.1486 b=17.5722 c=7.0885 alpha=90.00 beta=111.74 gamma=90.00
Sites, in units of the cell vectors:
1 Ca 0.2149 0.1830 0.0120
2 Ca 0.2149 0.3170 0.5120
3 Ca 0.2574 0.0601 0.5118
4 Ca 0.2574 0.4399 0.0118
5 Ca 0.2624 0.5602 0.5041
6 Ca 0.2624 0.9398 0.0041
7 Ca 0.7376 0.0602 0.9959
8 Ca 0.7376 0.4398 0.4959
9 Ca 0.7426 0.5601 0.9882
10 Ca 0.7426 0.9399 0.4882
11 Ca 0.7851 0.6831 0.4880
12 Ca 0.7851 0.8169 0.9880
13 Ge 0.2091 0.6255 0.0302
14 Ge 0.2091 0.8745 0.5302
15 Ge 0.3196 0.7424 0.9153
16 Ge 0.3196 0.7576 0.4153
17 Ge 0.6804 0.2424 0.5847
18 Ge 0.6804 0.2576 0.0847
19 Ge 0.7909 0.1255 0.4698
20 Ge 0.7909 0.3745 0.9698
21 P 0.0035 0.5587 0.7484
22 P 0.0035 0.9413 0.2484
23 P 0.0344 0.6851 0.2232
24 P 0.0344 0.8149 0.7232
25 P 0.4875 0.1968 0.7725
26 P 0.4875 0.3032 0.2725
27 P 0.4983 0.0659 0.2537
28 P 0.4983 0.4341 0.7537
29 P 0.5017 0.5659 0.2463
30 P 0.5017 0.9341 0.7463
31 P 0.5125 0.6968 0.7275
32 P 0.5125 0.8032 0.2275
33 P 0.9656 0.1851 0.2768
34 P 0.9656 0.3149 0.7768
35 P 0.9965 0.0587 0.7516
36 P 0.9965 0.4413 0.2516

Most intense lines, 2θ = 5–70°, most intense first:
30.3°, I 100; 14.3°, I 42; 45.4°, I 24; 43.2°, I 18; 43.5°, I 17; 38.3°, I 12; 34.1°, I 12; 32.6°, I 11; 10.1°, I 11; 26.9°, I 9



# 5
Calculated XRD peak list of CaGe2Pd2 for Cu Kα, 1.54184 Å, from DFT lattice parameters and positions (PBE).
Peak positions follow from Bragg's law for the DFT cell and can differ from measured ones.

Crystal structure
Unit cell a=4.3669 b=4.3669 c=10.1536 alpha=90.00 beta=90.00 gamma=90.00
Sites, in units of the cell vectors:
1 Ca 0.0000 0.0000 0.0000
2 Ca 0.5000 0.5000 0.5000
3 Ge 0.0000 0.0000 0.3754
4 Ge 0.0000 0.0000 0.6246
5 Ge 0.5000 0.5000 0.1246
6 Ge 0.5000 0.5000 0.8754
7 Pd 0.0000 0.5000 0.2500
8 Pd 0.0000 0.5000 0.7500
9 Pd 0.5000 0.0000 0.2500
10 Pd 0.5000 0.0000 0.7500

Most intense lines, 2θ = 5–70°, most intense first:
34.0°, I 100; 41.4°, I 72; 46.3°, I 66; 17.5°, I 58; 33.5°, I 34; 59.9°, I 23; 45.2°, I 20; 54.2°, I 19; 22.2°, I 18; 62.6°, I 16



# 6
Calculated XRD peak list of CaGePt for Cu Kα, 1.54184 Å, from DFT lattice parameters and positions (PBE).
Peak positions follow from Bragg's law for the DFT cell and can differ from measured ones.

Crystal structure
Unit cell a=7.2338 b=4.4456 c=7.5087 alpha=90.00 beta=90.00 gamma=90.00
Sites, in units of the cell vectors:
1 Ca 0.0069 0.2500 0.1962
2 Ca 0.4931 0.7500 0.6962
3 Ca 0.5069 0.2500 0.3038
4 Ca 0.9931 0.7500 0.8038
5 Ge 0.1802 0.2500 0.5833
6 Ge 0.3198 0.7500 0.0833
7 Ge 0.6802 0.2500 0.9167
8 Ge 0.8198 0.7500 0.4167
9 Pt 0.1980 0.7500 0.4076
10 Pt 0.3020 0.2500 0.9076
11 Pt 0.6980 0.7500 0.0924
12 Pt 0.8020 0.2500 0.5924

Most intense lines, 2θ = 5–70°, most intense first:
41.4°, I 100; 34.1°, I 90; 26.4°, I 69; 49.4°, I 67; 39.2°, I 63; 40.6°, I 61; 24.6°, I 59; 23.3°, I 56; 33.6°, I 53; 48.8°, I 48